No. 1
NaLi3Hg4: computed powder diffractogram (Cu Kα (weighted mean of Kα1 and Kα2)), based on a structure optimized by DFT (PBE).

Top 6 peaks for 2θ = 10–90°, sorted by position:
2θ/deg  d [Å]  I/Imax
25.09  3.550  51.4
26.30  3.388  100.0
36.67  2.451  97.1
37.54  2.396  49.2
45.68  1.986  43.1
67.17  1.394  33.8

Crystal structure
abc: 9.584 7.099 4.792
angles: 90.00 90.00 90.00
Element x y z (fractional)
Na1 0.000 0.000 0.000
Na2 0.500 0.000 0.000
Li1 0.000 0.500 0.000
Li2 0.250 0.000 0.498
Li3 0.250 0.500 0.497
Li4 0.500 0.500 0.000
Li5 0.750 0.000 0.502
Li6 0.750 0.500 0.503
Hg1 0.000 0.273 0.500
Hg2 0.000 0.727 0.500
Hg3 0.250 0.273 0.998
Hg4 0.250 0.727 0.998
Hg5 0.500 0.273 0.500
Hg6 0.500 0.727 0.500
Hg7 0.750 0.273 0.002
Hg8 0.750 0.727 0.002

=====

No. 2
LiRh2N3: computed powder diffractogram (Cu Kα (weighted mean of Kα1 and Kα2)), based on a structure optimized by DFT (PBE).

Top 6 peaks for 2θ = 10–90°, sorted by position:
2θ/deg  d [Å]  I/Imax
17.85  4.969  47.2
24.68  3.608  85.0
31.42  2.847  32.8
33.25  2.695  51.0
35.67  2.517  100.0
36.33  2.473  35.7

Crystal structure
abc: 5.696 5.696 5.389
angles: 90.00 90.00 58.50
Element x y z (fractional)
Li1 0.177 0.823 0.500
Li2 0.823 0.177 0.000
Rh1 0.159 0.513 0.996
Rh2 0.487 0.841 0.996
Rh3 0.513 0.159 0.496
Rh4 0.841 0.487 0.496
N1 0.169 0.477 0.362
N2 0.184 0.816 0.900
N3 0.477 0.169 0.862
N4 0.523 0.831 0.362
N5 0.816 0.184 0.400
N6 0.831 0.523 0.862

=====

No. 3
Cs3H2Au: computed powder diffractogram (Cu Kα (weighted mean of Kα1 and Kα2)), based on a structure optimized by DFT (PBE).

Top 6 peaks for 2θ = 10–90°, sorted by position:
2θ/deg  d [Å]  I/Imax
22.20  4.004  77.3
27.80  3.210  47.8
28.07  3.179  91.3
29.25  3.053  43.3
29.65  3.013  100.0
38.34  2.348  70.0

Crystal structure
abc: 8.170 4.631 12.389
angles: 90.00 102.79 90.00
Element x y z (fractional)
Cs1 0.119 0.250 0.155
Cs2 0.208 0.250 0.487
Cs3 0.348 0.250 0.858
Cs4 0.652 0.750 0.142
Cs5 0.792 0.750 0.513
Cs6 0.881 0.750 0.845
H1 0.013 0.750 0.322
H2 0.242 0.750 0.004
H3 0.758 0.250 0.996
H4 0.987 0.250 0.678
Au1 0.469 0.750 0.670
Au2 0.531 0.250 0.330

=====

Repeat the second record exactly.
LiRh2N3: computed powder diffractogram (Cu Kα (weighted mean of Kα1 and Kα2)), based on a structure optimized by DFT (PBE).

Top 6 peaks for 2θ = 10–90°, sorted by position:
2θ/deg  d [Å]  I/Imax
17.85  4.969  47.2
24.68  3.608  85.0
31.42  2.847  32.8
33.25  2.695  51.0
35.67  2.517  100.0
36.33  2.473  35.7

Crystal structure
abc: 5.696 5.696 5.389
angles: 90.00 90.00 58.50
Element x y z (fractional)
Li1 0.177 0.823 0.500
Li2 0.823 0.177 0.000
Rh1 0.159 0.513 0.996
Rh2 0.487 0.841 0.996
Rh3 0.513 0.159 0.496
Rh4 0.841 0.487 0.496
N1 0.169 0.477 0.362
N2 0.184 0.816 0.900
N3 0.477 0.169 0.862
N4 0.523 0.831 0.362
N5 0.816 0.184 0.400
N6 0.831 0.523 0.862

=====

Repeat the third record exactly.
Cs3H2Au: computed powder diffractogram (Cu Kα (weighted mean of Kα1 and Kα2)), based on a structure optimized by DFT (PBE).

Top 6 peaks for 2θ = 10–90°, sorted by position:
2θ/deg  d [Å]  I/Imax
22.20  4.004  77.3
27.80  3.210  47.8
28.07  3.179  91.3
29.25  3.053  43.3
29.65  3.013  100.0
38.34  2.348  70.0

Crystal structure
abc: 8.170 4.631 12.389
angles: 90.00 102.79 90.00
Element x y z (fractional)
Cs1 0.119 0.250 0.155
Cs2 0.208 0.250 0.487
Cs3 0.348 0.250 0.858
Cs4 0.652 0.750 0.142
Cs5 0.792 0.750 0.513
Cs6 0.881 0.750 0.845
H1 0.013 0.750 0.322
H2 0.242 0.750 0.004
H3 0.758 0.250 0.996
H4 0.987 0.250 0.678
Au1 0.469 0.750 0.670
Au2 0.531 0.250 0.330

=====

Which formula does entry 1 have? NaLi3Hg4